Starting from a crystal structure in the Materials Project, relaxed with PBE, the X-ray diffraction stick pattern of TmPaOs2 was simulated for CuKα.
Lines closer than 0.1° are merged.

Main lines, by intensity (2θ from 5° to 70°):
- 2θ 37.2, rel. 100.0, (2 2 0)
- 2θ 67.1, rel. 36.6, (4 2 2)
- 2θ 53.6, rel. 17.8, (4 0 0)
- 2θ 22.5, rel. 1.3, (1 1 1)
- 2θ 43.9, rel. 0.7, (3 1 1)

Crystal structure
a b c (Å): 6.837 6.837 6.837
angles (deg): 90.00 90.00 90.00
Positions (direct):
Tm 0.000 0.000 0.000
Tm 0.000 0.500 0.500
Tm 0.500 0.000 0.500
Tm 0.500 0.500 0.000
Pa 0.000 0.000 0.500
Pa 0.000 0.500 0.000
Pa 0.500 0.000 0.000
Pa 0.500 0.500 0.500
Os 0.250 0.250 0.250
Os 0.250 0.250 0.750
Os 0.250 0.750 0.250
Os 0.250 0.750 0.750
Os 0.750 0.250 0.250
Os 0.750 0.250 0.750
Os 0.750 0.750 0.250
Os 0.750 0.750 0.750

***

Starting from a crystal structure in the Materials Project, relaxed with PBE, the X-ray diffraction stick pattern of CeMg6Co was simulated for CuKα.
Lines closer than 0.1° are merged.

Main lines, by intensity (2θ from 5° to 70°):
- 2θ 16.1, rel. 100.0, (0 1 1)
- 2θ 32.5, rel. 74.6, (0 2 2)
- 2θ 14.9, rel. 59.9, (0 0 2)
- 2θ 35.5, rel. 56.5, (1 0 4)
- 2θ 37.6, rel. 50.7, (1 2 2)
- 2θ 26.7, rel. 34.8, (0 1 3)

Crystal structure
a b c (Å): 4.840 6.213 11.884
angles (deg): 90.00 90.00 90.00
Positions (direct):
Ce 0.000 0.000 0.000
Ce 0.000 0.500 0.500
Mg 0.000 0.000 0.447
Mg 0.000 0.244 0.727
Mg 0.000 0.256 0.227
Mg 0.000 0.500 0.947
Mg 0.000 0.744 0.227
Mg 0.000 0.756 0.727
Mg 0.500 0.000 0.607
Mg 0.500 0.243 0.868
Mg 0.500 0.257 0.368
Mg 0.500 0.500 0.107
Mg 0.500 0.743 0.368
Mg 0.500 0.757 0.868
Co 0.500 0.000 0.068
Co 0.500 0.500 0.568

***

Repeat the first record exactly.
Starting from a crystal structure in the Materials Project, relaxed with PBE, the X-ray diffraction stick pattern of TmPaOs2 was simulated for CuKα.
Lines closer than 0.1° are merged.

Main lines, by intensity (2θ from 5° to 70°):
- 2θ 37.2, rel. 100.0, (2 2 0)
- 2θ 67.1, rel. 36.6, (4 2 2)
- 2θ 53.6, rel. 17.8, (4 0 0)
- 2θ 22.5, rel. 1.3, (1 1 1)
- 2θ 43.9, rel. 0.7, (3 1 1)

Crystal structure
a b c (Å): 6.837 6.837 6.837
angles (deg): 90.00 90.00 90.00
Positions (direct):
Tm 0.000 0.000 0.000
Tm 0.000 0.500 0.500
Tm 0.500 0.000 0.500
Tm 0.500 0.500 0.000
Pa 0.000 0.000 0.500
Pa 0.000 0.500 0.000
Pa 0.500 0.000 0.000
Pa 0.500 0.500 0.500
Os 0.250 0.250 0.250
Os 0.250 0.250 0.750
Os 0.250 0.750 0.250
Os 0.250 0.750 0.750
Os 0.750 0.250 0.250
Os 0.750 0.250 0.750
Os 0.750 0.750 0.250
Os 0.750 0.750 0.750